Theoretical powder diffractogram of ZnCoSn for Cu Kα (λ = 1.5418 Å), from DFT lattice parameters and positions (GGA-PBE).
Intensities are scaled so that the largest is 100.

Largest 10 diffraction maxima, sorted by position, 5° ≤ 2θ ≤ 70°:
18.39 deg, intensity 11; 26.03 deg, intensity 6; 28.22 deg, intensity 8; 30.03 deg, intensity 14; 30.43 deg, intensity 28; 43.27 deg, intensity 100; 43.92 deg, intensity 18; 53.53 deg, intensity 6; 62.42 deg, intensity 7; 63.32 deg, intensity 12

Structural model:
```
ZnCoSn
1.0
8.247 0.000 0.000
0.000 4.186 0.000
0.000 0.000 5.951
Zn Co Sn
4 4 4
Direct
0.133 0.250 0.247
0.367 0.750 0.747
0.633 0.250 0.253
0.867 0.750 0.753
0.111 0.750 0.501
0.389 0.250 0.001
0.611 0.750 0.999
0.889 0.250 0.499
0.136 0.250 0.758
0.364 0.750 0.258
0.636 0.250 0.742
0.864 0.750 0.242
```